1.
Diffraction record for Ba3Bi. The powder X-ray diffraction pattern is computed, not measured: it uses a PBE-relaxed structure and CuKα.
No peak broadening, texture or thermal motion is included.

Cell and atoms:
```
Ba3Bi
1.0
8.058 0.000 0.000
-4.029 6.978 0.000
0.000 0.000 6.345
Ba Bi
6 2
Direct
0.177 0.355 0.250
0.177 0.823 0.250
0.355 0.177 0.750
0.645 0.823 0.250
0.823 0.177 0.750
0.823 0.645 0.750
0.333 0.667 0.750
0.667 0.333 0.250
```

Main lines, in order of falling intensity (2θ from 10° to 90°):
| two_theta | Rel. int. |
| --- | --- |
| 29.2 | 1000 |
| 28.1 | 251 |
| 25.5 | 234 |
| 53.9 | 230 |
| 50.5 | 220 |
| 45.0 | 195 |
| 54.6 | 163 |
| 38.3 | 162 |
| 73.3 | 128 |
| 87.1 | 85 |

2.
Diffraction record for Tl4SnS3. The powder X-ray diffraction pattern is computed, not measured: it uses a PBE-relaxed structure and CuKα.
No peak broadening, texture or thermal motion is included.

Cell and atoms:
```
Tl4SnS3
1.0
8.144 0.000 0.000
0.000 8.144 0.000
0.000 0.000 14.511
Tl Sn S
16 4 12
Direct
0.090 0.610 0.109
0.090 0.890 0.609
0.110 0.590 0.391
0.110 0.910 0.891
0.390 0.590 0.891
0.390 0.910 0.391
0.410 0.610 0.609
0.410 0.890 0.109
0.590 0.110 0.891
0.590 0.390 0.391
0.610 0.090 0.609
0.610 0.410 0.109
0.890 0.090 0.109
0.890 0.410 0.609
0.910 0.110 0.391
0.910 0.390 0.891
0.250 0.250 0.240
0.250 0.250 0.740
0.750 0.750 0.260
0.750 0.750 0.760
0.080 0.580 0.750
0.080 0.920 0.250
0.250 0.250 0.415
0.250 0.250 0.915
0.420 0.580 0.250
0.420 0.920 0.750
0.580 0.080 0.250
0.580 0.420 0.750
0.750 0.750 0.085
0.750 0.750 0.585
0.920 0.080 0.750
0.920 0.420 0.250
```

Main lines, in order of falling intensity (2θ from 10° to 90°):
| two_theta | Rel. int. |
| --- | --- |
| 30.7 | 1000 |
| 25.2 | 530 |
| 34.8 | 411 |
| 50.7 | 232 |
| 24.5 | 203 |
| 29.1 | 187 |
| 64.6 | 164 |
| 51.5 | 151 |
| 54.0 | 142 |
| 51.9 | 121 |

3.
Diffraction record for NdSb2Au. The powder X-ray diffraction pattern is computed, not measured: it uses a PBE-relaxed structure and CuKα.
No peak broadening, texture or thermal motion is included.

Cell and atoms:
```
NdSb2Au
1.0
4.446 0.000 0.000
0.000 4.446 0.000
0.000 0.000 10.423
Nd Sb Au
2 4 2
Direct
0.250 0.250 0.245
0.750 0.750 0.755
0.250 0.250 0.679
0.250 0.750 0.000
0.750 0.250 0.000
0.750 0.750 0.321
0.250 0.750 0.500
0.750 0.250 0.500
```

Main lines, in order of falling intensity (2θ from 10° to 90°):
| two_theta | Rel. int. |
| --- | --- |
| 33.3 | 1000 |
| 40.6 | 342 |
| 69.2 | 240 |
| 54.2 | 164 |
| 34.4 | 150 |
| 58.7 | 115 |
| 60.9 | 91 |
| 69.9 | 78 |
| 38.6 | 77 |
| 26.3 | 67 |

4.
Diffraction record for NaCeMg14O16. The powder X-ray diffraction pattern is computed, not measured: it uses a PBE-relaxed structure and CuKα.
No peak broadening, texture or thermal motion is included.

Cell and atoms:
```
NaCeMg14O16
1.0
8.729 0.000 0.000
0.000 8.729 0.000
0.000 0.000 4.393
Na Ce Mg O
1 1 14 16
Direct
0.000 0.000 0.000
0.500 0.500 0.000
0.000 0.243 0.500
0.000 0.500 0.000
0.000 0.757 0.500
0.231 0.500 0.500
0.238 0.238 0.000
0.238 0.762 0.000
0.243 0.000 0.500
0.500 0.000 0.000
0.500 0.231 0.500
0.500 0.769 0.500
0.757 0.000 0.500
0.762 0.238 0.000
0.762 0.762 0.000
0.769 0.500 0.500
0.000 0.000 0.500
0.000 0.263 0.000
0.000 0.500 0.500
0.000 0.737 0.000
0.236 0.500 0.000
0.252 0.252 0.500
0.252 0.748 0.500
0.263 0.000 0.000
0.500 0.000 0.500
0.500 0.236 0.000
0.500 0.500 0.500
0.500 0.764 0.000
0.737 0.000 0.000
0.748 0.252 0.500
0.748 0.748 0.500
0.764 0.500 0.000
```

Main lines, in order of falling intensity (2θ from 10° to 90°):
| two_theta | Rel. int. |
| --- | --- |
| 41.4 | 1000 |
| 59.7 | 590 |
| 41.1 | 531 |
| 10.1 | 475 |
| 30.7 | 368 |
| 35.5 | 343 |
| 59.9 | 280 |
| 75.3 | 259 |
| 22.8 | 217 |
| 22.7 | 217 |

5.
Diffraction record for ZnGe. The powder X-ray diffraction pattern is computed, not measured: it uses a PBE-relaxed structure and CuKα.
No peak broadening, texture or thermal motion is included.

Cell and atoms:
```
ZnGe
1.0
8.122 0.000 0.000
0.000 4.301 0.000
0.000 0.000 10.989
Zn Ge
8 8
Direct
0.012 0.007 0.000
0.238 0.532 0.250
0.262 0.532 0.750
0.488 0.007 0.500
0.512 0.993 0.000
0.738 0.468 0.250
0.762 0.468 0.750
0.988 0.993 0.500
0.010 0.511 0.883
0.237 0.036 0.631
0.263 0.036 0.131
0.490 0.511 0.383
0.510 0.489 0.883
0.737 0.964 0.631
0.763 0.964 0.131
0.990 0.489 0.383
```

Main lines, in order of falling intensity (2θ from 10° to 90°):
| two_theta | Rel. int. |
| --- | --- |
| 27.3 | 1000 |
| 26.3 | 915 |
| 45.1 | 894 |
| 50.8 | 316 |
| 42.0 | 262 |
| 52.5 | 241 |
| 44.6 | 223 |
| 54.5 | 168 |
| 63.0 | 139 |
| 78.9 | 131 |

6.
Diffraction record for GeSb. The powder X-ray diffraction pattern is computed, not measured: it uses a PBE-relaxed structure and CuKα.
No peak broadening, texture or thermal motion is included.

Cell and atoms:
```
GeSb
1.0
2.945 0.000 0.000
0.000 2.945 0.000
0.000 0.000 5.856
Ge Sb
1 1
Direct
0.000 0.000 0.000
0.000 0.000 0.500
```

Main lines, in order of falling intensity (2θ from 10° to 90°):
| two_theta | Rel. int. |
| --- | --- |
| 30.4 | 1000 |
| 43.6 | 734 |
| 30.5 | 492 |
| 54.0 | 385 |
| 43.5 | 370 |
| 71.7 | 326 |
| 79.9 | 243 |
| 72.0 | 161 |
| 15.1 | 143 |
| 80.1 | 120 |

7.
Diffraction record for MgH3. The powder X-ray diffraction pattern is computed, not measured: it uses a PBE-relaxed structure and CuKα.
No peak broadening, texture or thermal motion is included.

Cell and atoms:
```
MgH3
1.0
0.000 2.353 2.353
2.353 0.000 2.353
2.353 2.353 0.000
Mg H
1 3
Direct
0.000 0.000 0.000
0.250 0.250 0.250
0.500 0.500 0.500
0.750 0.750 0.750
```

Main lines, in order of falling intensity (2θ from 10° to 90°):
| two_theta | Rel. int. |
| --- | --- |
| 33.0 | 1000 |
| 38.3 | 501 |
| 55.2 | 445 |
| 65.8 | 396 |
| 69.2 | 113 |
| 81.9 | 59 |

8.
Diffraction record for CeMgRh. The powder X-ray diffraction pattern is computed, not measured: it uses a PBE-relaxed structure and CuKα.
No peak broadening, texture or thermal motion is included.

Cell and atoms:
```
CeMgRh
1.0
7.410 0.000 0.000
-3.705 6.418 0.000
0.000 0.000 4.081
Ce Mg Rh
3 3 3
Direct
0.000 0.583 0.000
0.417 0.417 0.000
0.583 0.000 0.000
0.000 0.240 0.500
0.240 0.000 0.500
0.760 0.760 0.500
0.000 0.000 0.000
0.333 0.667 0.500
0.667 0.333 0.500
```

Main lines, in order of falling intensity (2θ from 10° to 90°):
| two_theta | Rel. int. |
| --- | --- |
| 35.6 | 1000 |
| 32.6 | 762 |
| 24.0 | 315 |
| 42.2 | 260 |
| 43.4 | 234 |
| 27.8 | 231 |
| 56.4 | 225 |
| 37.1 | 223 |
| 44.4 | 222 |
| 67.6 | 213 |

9.
Diffraction record for TbB2Ru. The powder X-ray diffraction pattern is computed, not measured: it uses a PBE-relaxed structure and CuKα.
No peak broadening, texture or thermal motion is included.

Cell and atoms:
```
TbB2Ru
1.0
5.940 0.000 0.000
0.000 5.352 0.000
0.000 0.000 6.370
Tb B Ru
4 8 4
Direct
0.009 0.250 0.162
0.491 0.750 0.662
0.509 0.250 0.338
0.991 0.750 0.838
0.130 0.585 0.461
0.130 0.915 0.461
0.370 0.085 0.961
0.370 0.415 0.961
0.630 0.585 0.039
0.630 0.915 0.039
0.870 0.085 0.539
0.870 0.415 0.539
0.181 0.250 0.681
0.319 0.750 0.181
0.681 0.250 0.819
0.819 0.750 0.319
```

Main lines, in order of falling intensity (2θ from 10° to 90°):
| two_theta | Rel. int. |
| --- | --- |
| 37.4 | 1000 |
| 36.1 | 906 |
| 33.5 | 574 |
| 74.5 | 277 |
| 62.5 | 244 |
| 28.0 | 213 |
| 64.4 | 199 |
| 61.6 | 177 |
| 44.2 | 170 |
| 20.4 | 158 |